No. 1
Calculated powder XRD pattern of Sr4BrN2Cl for Cu Kα (weighted mean of Kα1 and Kα2), from a GGA-PBE-relaxed structure.
No peak broadening, texture or thermal motion is included.

Structural model:
Cell lengths 6.820, 3.938, 7.611 Å; angles 90.00, 107.39, 90.00 degrees
Space group P2/m (No. 10)
Symmetry-distinct sites (fractional):
Sr (0.226, 0.000, 0.184)
Sr (0.269, 0.500, 0.814)
Br (0.500, 0.500, 0.500)
N (0.000, 0.500, 0.000)
N (0.500, 0.000, 0.000)
Cl (0.000, 0.000, 0.500)

The 10 most intense peaks (10° ≤ 2θ ≤ 90°), by intensity:
hkl 1 1 1, d 2.891, 30.94 deg, intensity 100; hkl 2 0 1, d 2.686, 33.36 deg, intensity 39; hkl 0 2 0, d 1.969, 46.10 deg, intensity 39; hkl 0 2 3, d 1.528, 60.62 deg, intensity 25; hkl 2 0 0, d 3.255, 27.40 deg, intensity 25; hkl 2 0 2, d 2.128, 42.48 deg, intensity 19; hkl 0 0 3, d 2.421, 37.14 deg, intensity 18; hkl 2 2 -2, d 1.627, 56.56 deg, intensity 17; hkl 1 1 0, d 3.369, 26.45 deg, intensity 14; hkl 1 3 1, d 1.254, 75.85 deg, intensity 14


No. 2
Calculated powder XRD pattern of Na5BrCl4 for Cu Kα (weighted mean of Kα1 and Kα2), from a GGA-PBE-relaxed structure.
No peak broadening, texture or thermal motion is included.

Structural model:
Cell lengths 4.0740, 4.0740, 49.9126 Å; angles 90.00, 90.00, 120.00 degrees
Space group R-3m (No. 166, hexagonal axes)
Symmetry-distinct sites (fractional):
Na (0.0000, 0.0000, 0.0000)
Na (0.0000, 0.0000, 0.2018)
Na (0.0000, 0.0000, 0.3998)
Br (0.0000, 0.0000, 0.5000)
Cl (0.0000, 0.0000, 0.0993)
Cl (0.0000, 0.0000, 0.3000)

The 10 most intense peaks (10° ≤ 2θ ≤ 90°), by intensity:
hkl 1 0 10, d 2.881, 31.04 deg, intensity 100; hkl 1 1 0, d 2.037, 44.47 deg, intensity 68; hkl 2 1 10, d 1.288, 73.50 deg, intensity 26; hkl 0 2 10, d 1.663, 55.22 deg, intensity 22; hkl 3 0 0, d 1.176, 81.91 deg, intensity 19; hkl 0 0 15, d 3.327, 26.80 deg, intensity 18; hkl 2 0 20, d 1.441, 64.71 deg, intensity 10; hkl 1 0 25, d 1.737, 52.68 deg, intensity 6; hkl 0 0 6, d 8.319, 10.63 deg, intensity 5; hkl 1 0 4, d 3.395, 26.25 deg, intensity 3


No. 3
Calculated powder XRD pattern of Pb12Br7ClO8 for Cu Kα (weighted mean of Kα1 and Kα2), from a GGA-PBE-relaxed structure.
No peak broadening, texture or thermal motion is included.

Structural model:
Cell lengths 10.104, 5.979, 12.471 Å; angles 90.00, 90.46, 90.00 degrees
Space group Pm (No. 6)
Symmetry-distinct sites (fractional):
Pb (0.000, 0.000, 0.000)
Pb (0.053, 0.000, 0.712)
Pb (0.206, 0.500, 0.868)
Pb (0.264, 0.500, 0.579)
Pb (0.343, 0.000, 0.224)
Pb (0.413, 0.000, 0.734)
Pb (0.495, 0.500, 0.077)
Pb (0.553, 0.500, 0.366)
Pb (0.705, 0.000, 0.211)
Pb (0.762, 0.000, 0.500)
Pb (0.844, 0.500, 0.849)
Pb (0.914, 0.500, 0.349)
Br (0.050, 0.000, 0.420)
Br (0.208, 0.500, 0.157)
Br (0.434, 0.000, 0.479)
Br (0.550, 0.500, 0.659)
Br (0.708, 0.000, 0.920)
Br (0.824, 0.500, 0.100)
Br (0.934, 0.500, 0.600)
Cl (0.319, 0.000, 0.979)
O (0.020, 0.254, 0.867)
O (0.240, 0.246, 0.712)
O (0.518, 0.246, 0.209)
O (0.740, 0.254, 0.367)

The 10 most intense peaks (10° ≤ 2θ ≤ 90°), by intensity:
hkl 3 1 0, d 2.934, 30.46 deg, intensity 100; hkl 0 1 4, d 2.764, 32.39 deg, intensity 98; hkl 0 2 0, d 2.989, 29.89 deg, intensity 78; hkl 2 0 -3, d 3.225, 27.66 deg, intensity 51; hkl 1 0 1, d 7.848, 11.27 deg, intensity 50; hkl 2 1 -1, d 3.687, 24.14 deg, intensity 44; hkl 1 1 -2, d 3.969, 22.40 deg, intensity 37; hkl 1 1 -3, d 3.240, 27.53 deg, intensity 36; hkl 2 2 3, d 2.184, 41.35 deg, intensity 30; hkl 2 0 3, d 3.197, 27.90 deg, intensity 28


No. 4
Calculated powder XRD pattern of P3BrCl14 for Cu Kα (weighted mean of Kα1 and Kα2), from a GGA-PBE-relaxed structure.
No peak broadening, texture or thermal motion is included.

Structural model:
Cell lengths 9.054, 9.054, 12.707 Å; angles 90.00, 90.00, 90.00 degrees
Space group I4 (No. 79)
Symmetry-distinct sites (fractional):
P (0.000, 0.000, 0.000)
P (0.000, 0.500, 0.253)
Br (0.000, 0.000, 0.504)
Cl (0.000, 0.000, 0.170)
Cl (0.000, 0.000, 0.830)
Cl (0.036, 0.674, 0.342)
Cl (0.036, 0.674, 0.663)
Cl (0.113, 0.788, 0.000)

The 10 most intense peaks (10° ≤ 2θ ≤ 90°), by intensity:
hkl 2 0 0, d 4.516, 19.66 deg, intensity 100; hkl 1 2 3, d 2.927, 30.54 deg, intensity 91; hkl 3 1 0, d 2.863, 31.24 deg, intensity 24; hkl 3 0 1, d 2.936, 30.44 deg, intensity 23; hkl 4 2 4, d 1.708, 53.65 deg, intensity 23; hkl 3 1 6, d 1.703, 53.84 deg, intensity 15; hkl 1 4 3, d 1.950, 46.59 deg, intensity 12; hkl 3 3 0, d 2.134, 42.35 deg, intensity 12; hkl 3 3 6, d 1.503, 61.70 deg, intensity 11; hkl 0 0 6, d 2.118, 42.69 deg, intensity 11


No. 5
Calculated powder XRD pattern of PbBrCl for Cu Kα (weighted mean of Kα1 and Kα2), from a GGA-PBE-relaxed structure.
No peak broadening, texture or thermal motion is included.

Structural model:
Cell lengths 4.703, 4.703, 7.902 Å; angles 90.00, 90.00, 90.00 degrees
Space group P4/nmm (No. 129, origin choice 2)
Symmetry-distinct sites (fractional):
Pb (0.250, 0.250, 0.233)
Br (0.250, 0.250, 0.635)
Cl (0.250, 0.750, 0.000)

The 10 most intense peaks (10° ≤ 2θ ≤ 90°), by intensity:
hkl 1 0 1, d 4.041, 21.99 deg, intensity 100; hkl 1 1 0, d 3.326, 26.81 deg, intensity 100; hkl 1 1 2, d 2.544, 35.28 deg, intensity 96; hkl 1 0 3, d 2.298, 39.20 deg, intensity 69; hkl 2 0 0, d 2.352, 38.28 deg, intensity 66; hkl 2 1 3, d 1.644, 55.94 deg, intensity 49; hkl 1 0 2, d 3.025, 29.53 deg, intensity 40; hkl 0 0 2, d 3.951, 22.50 deg, intensity 36; hkl 2 1 1, d 2.033, 44.58 deg, intensity 34; hkl 3 1 2, d 1.392, 67.26 deg, intensity 29


No. 6
Calculated powder XRD pattern of PbBrCl for Cu Kα (weighted mean of Kα1 and Kα2), from a GGA-PBE-relaxed structure.
No peak broadening, texture or thermal motion is included.

Structural model:
Cell lengths 7.935, 4.649, 9.473 Å; angles 90.00, 90.00, 90.00 degrees
Space group Pnma (No. 62)
Symmetry-distinct sites (fractional):
Pb (0.248, 0.250, 0.092)
Br (0.023, 0.250, 0.837)
Cl (0.141, 0.250, 0.429)

The 10 most intense peaks (10° ≤ 2θ ≤ 90°), by intensity:
hkl 1 1 1, d 3.694, 24.09 deg, intensity 100; hkl 2 1 1, d 2.876, 31.10 deg, intensity 79; hkl 1 0 2, d 4.067, 21.85 deg, intensity 65; hkl 2 1 3, d 2.182, 41.38 deg, intensity 50; hkl 0 1 3, d 2.612, 34.33 deg, intensity 49; hkl 3 0 2, d 2.309, 39.00 deg, intensity 34; hkl 0 2 0, d 2.325, 38.74 deg, intensity 34; hkl 3 1 1, d 2.234, 40.37 deg, intensity 34; hkl 3 2 2, d 1.638, 56.14 deg, intensity 24; hkl 2 0 0, d 3.968, 22.41 deg, intensity 22